Diffraction record for Nd2Co3B2. The PXRD pattern is theoretical, not measured: it uses a structure optimized by DFT (PBE) and Cu Kα X-rays.
Peak positions follow from Bragg's law for the DFT cell and can differ from measured ones.

Cell and atoms:
a = 5.431 Å, b = 5.431 Å, c = 6.514 Å
α = 115.82°, β = 115.82°, γ = 36.38°
Element x y z (fractional)
Nd 0.128 0.128 0.269
Nd 0.872 0.872 0.731
Co 0.344 0.344 0.081
Co 0.500 0.500 0.500
Co 0.656 0.656 0.919
B 0.143 0.143 0.747
B 0.857 0.857 0.253

Top 6 peaks for 5° ≤ 2θ ≤ 70°, most intense first:
- 2θ = 37.27°, d 2.412, I 100
- 2θ = 29.86°, d 2.992, I 78
- 2θ = 34.26°, d 2.617, I 39
- 2θ = 41.63°, d 2.169, I 31
- 2θ = 45.61°, d 1.989, I 28
- 2θ = 38.59°, d 2.333, I 28